[1]
Theoretical powder diffractogram of Y3Zn2Rh for CuKα, from a DFT-relaxed cell (PBE, Alexandria).

Structural model:
Lattice parameters (Å, degrees): 11.993 4.424 10.626 90.00 90.00 90.00
Space group Pnma (No. 62)
Inequivalent atoms, fractional coordinates:
Y  0.054  0.250  0.116
Y  0.110  0.750  0.560
Y  0.234  0.250  0.795
Zn  0.008  0.750  0.295
Zn  0.197  0.750  0.003
Rh  0.120  0.250  0.372

Main lines, in order of rising 2θ (2θ from 10° to 80°):
2theta	d [Å]	Rel. int.
11.1	7.953	28
17.0	5.222	23
30.2	2.957	30
32.4	2.765	100
34.6	2.591	80
37.2	2.417	73
39.6	2.274	22
40.8	2.212	66
42.5	2.129	38
65.5	1.425	22

---

[2]
Theoretical powder diffractogram of YZn4Rh2 for CuKα, from a DFT-relaxed cell (PBE, Alexandria).

Structural model:
Lattice parameters (Å, degrees): 7.561 7.561 4.117 90.00 90.00 90.00
Space group P4_2/mnm (No. 136)
Inequivalent atoms, fractional coordinates:
Y  0.000  0.000  0.000
Zn  0.095  0.352  0.500
Rh  0.215  0.785  0.500

Main lines, in order of rising 2θ (2θ from 10° to 80°):
2theta	d [Å]	Rel. int.
33.5	2.673	32
34.3	2.613	86
37.6	2.391	32
40.2	2.242	61
43.8	2.068	100
44.0	2.059	47
49.7	1.834	30
59.2	1.560	16
65.8	1.420	19
68.5	1.369	22

---

[3]
Theoretical powder diffractogram of Y4Zn3Rh for CuKα, from a DFT-relaxed cell (PBE, Alexandria).

Structural model:
Lattice parameters (Å, degrees): 3.559 3.559 14.072 90.00 90.00 90.00
Space group P4/mmm (No. 123)
Inequivalent atoms, fractional coordinates:
Y  0.000  0.000  0.116
Y  0.000  0.000  0.372
Zn  0.500  0.500  0.247
Zn  0.500  0.500  0.500
Rh  0.500  0.500  0.000

Main lines, in order of rising 2θ (2θ from 10° to 80°):
2theta	d [Å]	Rel. int.
12.6	7.036	2
35.7	2.517	52
35.9	2.502	100
40.9	2.208	1
51.3	1.780	18
52.0	1.759	8
64.2	1.450	35
64.7	1.442	16
75.6	1.258	5
76.1	1.251	10